# K2CoH6O6
Simulated powder diffraction line list, Cu Kα, 1.54184 Å. Input: the GGA+U geometry in OQMD.
Lines closer than 0.1° are merged.

Atomic structure:
```
K2CoH6O6
1.0
3.1384 1.8119 3.9756
-3.1384 1.8119 3.9756
0.0000 -3.6239 3.9756
K Co H O
2 1 6 6
Direct
0.2082 0.2082 0.2082
0.7918 0.7918 0.7918
0.5000 0.5000 0.5000
0.1331 0.6760 0.2892
0.2892 0.1331 0.6760
0.3240 0.7108 0.8669
0.6760 0.2892 0.1331
0.7108 0.8669 0.3240
0.8669 0.3240 0.7108
0.2139 0.3252 0.6855
0.3145 0.7861 0.6748
0.3252 0.6855 0.2139
0.6748 0.3145 0.7861
0.6855 0.2139 0.3252
0.7861 0.6748 0.3145
```

Peak list (10 most intense, 10 to 90 degrees two-theta, by angle)
2θ 17.93, intensity 71; 2θ 22.36, intensity 32; 2θ 28.44, intensity 70; 2θ 36.33, intensity 20; 2θ 36.48, intensity 100; 2θ 45.14, intensity 44; 2θ 50.36, intensity 18; 2θ 55.75, intensity 24; 2θ 58.85, intensity 18; 2θ 72.00, intensity 20